No. 1
The following is a theoretical PXRD pattern of LaHo2Er5Tm. It was derived from a PBE-relaxed structure, using λ = 1.5418 Å (Cu Kα).
Peak positions follow from Bragg's law for the DFT cell and can differ from measured ones.

Structural model:
abc: 8.985 8.985 14.432
angles: 90.00 90.00 90.00
Space group I4/mcm (No. 140)
One atom of each set of equivalent atoms:
La: 0.000 0.000 0.250 [4 per cell]
Ho: 0.111 0.389 0.000 [8 per cell]
Er: 0.000 0.000 0.000 [4 per cell]
Er: 0.204 0.296 0.371 [16 per cell]
Tm: 0.000 0.500 0.250 [4 per cell]

Principal peaks in the range 2θ = 5–70°, low angle first:
- d 3.177, 2θ 28.09, I = 53, hkl 2 2 0
- d 3.084, 2θ 28.95, I = 49, hkl 2 1 3
- d 2.841, 2θ 31.49, I = 15, hkl 3 1 0
- d 2.813, 2θ 31.81, I = 100, hkl 2 0 4
- d 2.644, 2θ 33.91, I = 14, hkl 3 1 2
- d 2.456, 2θ 36.59, I = 23, hkl 3 2 1
- d 2.344, 2θ 38.40, I = 18, hkl 2 1 5
- d 2.155, 2θ 41.93, I = 18, hkl 4 1 1
- d 1.804, 2θ 50.60, I = 12, hkl 0 0 8
- d 1.755, 2θ 52.10, I = 18, hkl 4 2 4
- d 1.588, 2θ 58.07, I = 13, hkl 4 4 0
- d 1.569, 2θ 58.87, I = 13, hkl 2 2 8

***

No. 2
The following is a theoretical PXRD pattern of CsAgTeIrSe. It was derived from a PBE-relaxed structure, using λ = 1.5418 Å (Cu Kα).
Peak positions follow from Bragg's law for the DFT cell and can differ from measured ones.

Structural model:
abc: 3.935 4.948 7.932
angles: 90.00 91.67 90.00
Space group Pm (No. 6)
One atom of each set of equivalent atoms:
Cs: 0.000 0.000 0.000 [1 per cell]
Ag: 0.734 0.000 0.479 [1 per cell]
Te: 0.461 0.500 0.363 [1 per cell]
Ir: 0.983 0.500 0.584 [1 per cell]
Se: 0.487 0.500 0.778 [1 per cell]

Principal peaks in the range 2θ = 5–70°, low angle first:
- d 7.928, 2θ 11.16, I = 100, hkl 0 0 1
- d 4.198, 2θ 21.17, I = 69, hkl 0 1 1
- d 3.964, 2θ 22.43, I = 25, hkl 0 0 2
- d 3.094, 2θ 28.86, I = 27, hkl 0 1 2
- d 2.848, 2θ 31.41, I = 47, hkl 1 1 1
- d 2.834, 2θ 31.57, I = 50, hkl 1 0 -2
- d 2.474, 2θ 36.31, I = 50, hkl 0 2 0
- d 2.405, 2θ 37.39, I = 41, hkl 1 1 2
- d 1.983, 2θ 45.75, I = 34, hkl 1 1 3
- d 1.864, 2θ 48.87, I = 29, hkl 1 2 -2
- d 1.840, 2θ 49.54, I = 39, hkl 0 1 4
- d 1.792, 2θ 50.97, I = 26, hkl 2 1 -1

***

No. 3
The following is a theoretical PXRD pattern of LaPrTm2As4. It was derived from a PBE-relaxed structure, using λ = 1.5418 Å (Cu Kα).
Peak positions follow from Bragg's law for the DFT cell and can differ from measured ones.

Structural model:
abc: 7.269 4.209 7.288
angles: 90.00 109.51 90.00
Space group P2/m (No. 10)
One atom of each set of equivalent atoms:
La: 0.000 0.000 0.000 [1 per cell]
Pr: 0.000 0.500 0.500 [1 per cell]
Tm: 0.500 0.000 0.500 [1 per cell]
Tm: 0.500 0.500 0.000 [1 per cell]
As: 0.266 0.000 0.754 [2 per cell]
As: 0.266 0.500 0.256 [2 per cell]

Principal peaks in the range 2θ = 5–70°, low angle first:
- d 6.852, 2θ 12.92, I = 2, hkl 1 0 0
- d 3.433, 2θ 25.96, I = 21, hkl 2 0 0
- d 2.973, 2θ 30.06, I = 100, hkl 1 1 1
- d 2.103, 2θ 43.01, I = 50, hkl 0 2 0
- d 2.100, 2θ 43.08, I = 24, hkl 3 1 -1
- d 1.793, 2θ 50.92, I = 8, hkl 2 2 0
- d 1.790, 2θ 51.01, I = 3, hkl 3 1 1
- d 1.718, 2θ 53.34, I = 20, hkl 0 0 4
- d 1.713, 2θ 53.50, I = 6, hkl 4 0 0
- d 1.486, 2θ 62.48, I = 12, hkl 2 2 2
- d 1.365, 2θ 68.76, I = 2, hkl 2 2 -4
- d 1.363, 2θ 68.88, I = 2, hkl 4 0 2